Diffraction record for KHfMg14O15. The X-ray diffraction stick pattern is computed, not measured: it uses a crystal structure in the Materials Project, relaxed with PBE and CuKα.

Peak list (8 most intense, 10° ≤ 2θ ≤ 90°, low angle first)
(0 1 0), 2θ = 10.04°, d = 8.808 Å, I = 99; (0 0 1), 2θ = 10.28°, d = 8.602 Å, I = 66; (0 1 1), 2θ = 14.39°, d = 6.154 Å, I = 89; (1 1 1), 2θ = 24.74°, d = 3.599 Å, I = 61; (1 2 2), 2θ = 35.50°, d = 2.528 Å, I = 95; (2 0 0), 2θ = 40.67°, d = 2.218 Å, I = 100; (0 4 0), 2θ = 40.99°, d = 2.202 Å, I = 95; (0 0 4), 2θ = 42.02°, d = 2.150 Å, I = 99

Lattice parameters (Å, degrees): 4.4368 8.8082 8.6019 90.00 90.00 90.00
Sites, in units of the cell vectors:
1 K 0.0000 0.0000 0.0000
2 Hf 0.0000 0.5000 0.5142
3 Mg 0.0000 0.0000 0.5256
4 Mg 0.0000 0.2396 0.2602
5 Mg 0.0000 0.2542 0.7736
6 Mg 0.0000 0.5000 0.0205
7 Mg 0.0000 0.7458 0.7736
8 Mg 0.0000 0.7604 0.2602
9 Mg 0.5000 0.0000 0.2651
10 Mg 0.5000 0.0000 0.7660
11 Mg 0.5000 0.2391 0.5170
12 Mg 0.5000 0.2495 0.0185
13 Mg 0.5000 0.5000 0.2576
14 Mg 0.5000 0.5000 0.7777
15 Mg 0.5000 0.7505 0.0185
16 Mg 0.5000 0.7609 0.5170
17 O 0.0000 0.0000 0.2918
18 O 0.0000 0.2575 0.5150
19 O 0.0000 0.2756 0.0184
20 O 0.0000 0.5000 0.2696
21 O 0.0000 0.5000 0.7635
22 O 0.0000 0.7244 0.0184
23 O 0.0000 0.7425 0.5150
24 O 0.5000 0.0000 0.0218
25 O 0.5000 0.0000 0.5162
26 O 0.5000 0.2513 0.2690
27 O 0.5000 0.2558 0.7665
28 O 0.5000 0.5000 0.0181
29 O 0.5000 0.5000 0.5157
30 O 0.5000 0.7442 0.7665
31 O 0.5000 0.7487 0.2690